No. 1
# Lu3S2NO
Simulated powder XRD pattern, Cu Kα X-rays. Input: a GGA-PBE-relaxed structure.
Peak positions follow from Bragg's law for the DFT cell and can differ from measured ones.

Principal peaks in the range 2θ = 10–80°, sorted by position:
Position (°2θ), intensity
26.2, 18.4
27.7, 37.6
28.7, 42.8
29.9, 15.9
30.9, 38.2
32.3, 100.0
39.2, 34.9
47.8, 30.1
49.0, 18.9
57.3, 15.0

```
14
Lattice="7.4112 -1.8588 0.0000 7.4112 1.8588 0.0000 -1.5216 0.0000 9.1410" Properties=species:S:1:pos:R:3 pbc="T T T"
Lu 0.3780 0.0000 2.3969
Lu 1.9017 0.0000 6.1434
Lu 5.6998 0.0000 0.5279
Lu 7.6010 0.0000 8.6132
Lu 11.3992 0.0000 2.9976
Lu 12.9228 0.0000 6.7441
S 2.9584 0.0000 1.3888
S 4.6027 0.0000 4.8457
S 8.6981 0.0000 4.2954
S 10.3424 0.0000 7.7522
N 0.1788 0.0000 7.3543
N 13.1220 0.0000 1.7867
O 5.4998 0.0000 7.8756
O 7.8010 0.0000 1.2654
```

***

No. 2
# Tm3Si4Sn4
Simulated powder XRD pattern, Cu Kα X-rays. Input: a GGA-PBE-relaxed structure.
Peak positions follow from Bragg's law for the DFT cell and can differ from measured ones.

Principal peaks in the range 2θ = 10–80°, sorted by position:
Position (°2θ), intensity
25.6, 14.8
27.1, 19.7
32.3, 100.0
34.6, 49.2
38.7, 20.9
41.6, 13.4
45.6, 15.9
46.1, 16.1
56.7, 18.6
75.2, 17.6

```
11
Lattice="-1.9888 3.4797 9.3174 1.9888 -3.4797 9.3174 1.9888 3.4797 -9.3174" Properties=species:S:1:pos:R:3 pbc="T T T"
Tm 0.0000 0.0000 0.0000
Tm 1.9888 0.0000 7.0226
Tm 0.0000 3.4797 2.2947
Si 1.9888 1.2111 -2.5505
Si 1.9888 1.2111 2.5505
Si 0.0000 2.2686 6.7669
Si 0.0000 2.2686 11.8678
Sn 0.0000 0.0000 4.3505
Sn 1.9888 2.1316 0.0000
Sn 0.0000 1.3481 9.3174
Sn 0.0000 0.0000 14.2843
```

***

No. 3
# HfZr2Ag
Simulated powder XRD pattern, Cu Kα X-rays. Input: a GGA-PBE-relaxed structure.
Peak positions follow from Bragg's law for the DFT cell and can differ from measured ones.

Principal peaks in the range 2θ = 10–80°, sorted by position:
Position (°2θ), intensity
22.2, 7.2
25.7, 2.1
36.7, 100.0
43.3, 4.1
52.8, 17.2
58.0, 1.8
59.6, 1.0
66.0, 34.6
70.6, 1.4
77.9, 10.7

```
16
Lattice="6.9348 0.0000 0.0000 0.0000 6.9348 0.0000 0.0000 0.0000 6.9348" Properties=species:S:1:pos:R:3 pbc="T T T"
Hf 0.0000 0.0000 0.0000
Hf 0.0000 3.4674 3.4674
Hf 3.4674 0.0000 3.4674
Hf 3.4674 3.4674 0.0000
Zr 0.0000 0.0000 3.4674
Zr 0.0000 3.4674 0.0000
Zr 1.7337 1.7337 1.7337
Zr 1.7337 5.2011 5.2011
Zr 3.4674 0.0000 0.0000
Zr 3.4674 3.4674 3.4674
Zr 5.2011 1.7337 5.2011
Zr 5.2011 5.2011 1.7337
Ag 1.7337 1.7337 5.2011
Ag 1.7337 5.2011 1.7337
Ag 5.2011 1.7337 1.7337
Ag 5.2011 5.2011 5.2011
```

***

No. 4
# HoNbCN2O2
Simulated powder XRD pattern, Cu Kα X-rays. Input: a GGA-PBE-relaxed structure.
Peak positions follow from Bragg's law for the DFT cell and can differ from measured ones.

Principal peaks in the range 2θ = 10–80°, sorted by position:
Position (°2θ), intensity
11.0, 64.6
22.1, 21.0
28.8, 19.5
30.9, 100.0
33.4, 18.8
36.6, 42.8
44.7, 24.3
51.1, 27.7
54.3, 25.1
62.4, 18.6

```
7
Lattice="3.5778 0.0000 0.0000 -1.7889 3.0985 0.0000 0.0000 0.0000 8.0559" Properties=species:S:1:pos:R:3 pbc="T T T"
Ho 0.0000 0.0000 0.0000
Nb 0.0000 2.0657 2.8631
C 1.7889 1.0328 5.4164
N 1.7889 1.0328 4.1821
N 1.7889 1.0328 6.6537
O 0.0000 0.0000 2.2971
O 0.0000 2.0657 0.6592
```

***

No. 5
# Fe2GeBi
Simulated powder XRD pattern, Cu Kα X-rays. Input: a GGA-PBE-relaxed structure.
Peak positions follow from Bragg's law for the DFT cell and can differ from measured ones.

Principal peaks in the range 2θ = 10–80°, sorted by position:
Position (°2θ), intensity
23.8, 7.8
27.5, 28.7
30.8, 23.1
39.3, 100.0
41.8, 8.9
48.6, 11.2
56.8, 14.6
58.7, 8.5
64.2, 18.8
71.3, 27.3

```
16
Lattice="6.4835 0.0000 0.0000 0.0000 6.4835 0.0000 0.0000 0.0000 6.4835" Properties=species:S:1:pos:R:3 pbc="T T T"
Fe 1.3587 1.3587 1.3587
Fe 1.3587 1.3587 5.1249
Fe 1.3587 5.1249 1.3587
Fe 1.3587 5.1249 5.1249
Fe 5.1249 1.3587 1.3587
Fe 5.1249 1.3587 5.1249
Fe 5.1249 5.1249 1.3587
Fe 5.1249 5.1249 5.1249
Ge 0.0000 0.0000 0.0000
Ge 0.0000 0.0000 3.2418
Ge 0.0000 3.2418 0.0000
Ge 3.2418 0.0000 0.0000
Bi 0.0000 3.2418 3.2418
Bi 3.2418 0.0000 3.2418
Bi 3.2418 3.2418 0.0000
Bi 3.2418 3.2418 3.2418
```

***

No. 6
# Tm3Mg3AlZn2
Simulated powder XRD pattern, Cu Kα X-rays. Input: a GGA-PBE-relaxed structure.
Peak positions follow from Bragg's law for the DFT cell and can differ from measured ones.

Principal peaks in the range 2θ = 10–80°, sorted by position:
Position (°2θ), intensity
14.2, 38.1
19.7, 26.0
24.8, 24.7
28.7, 31.7
31.8, 95.2
35.0, 100.0
38.3, 30.8
39.9, 25.7
53.1, 26.2
57.2, 36.0

```
9
Lattice="7.1832 0.0000 0.0000 -3.5916 6.2208 0.0000 0.0000 0.0000 4.5144" Properties=species:S:1:pos:R:3 pbc="T T T"
Tm -2.0486 3.5483 0.0000
Tm 1.5430 2.6725 0.0000
Tm 4.0973 0.0000 0.0000
Mg -0.8788 1.5221 2.2572
Mg 1.7576 0.0000 2.2572
Mg 2.7128 4.6987 2.2572
Al 0.0000 0.0000 0.0000
Zn 0.0000 4.1472 2.2572
Zn 3.5916 2.0736 2.2572
```

***

No. 7
# Sm3AlCoS7
Simulated powder XRD pattern, Cu Kα X-rays. Input: a GGA-PBE-relaxed structure.
Peak positions follow from Bragg's law for the DFT cell and can differ from measured ones.

Principal peaks in the range 2θ = 10–80°, sorted by position:
Position (°2θ), intensity
17.8, 43.0
25.7, 100.0
28.1, 27.9
35.2, 34.8
36.1, 36.1
37.1, 36.8
40.8, 29.9
41.4, 23.0
49.3, 24.7
52.1, 18.8

```
24
Lattice="9.6918 0.0000 0.0000 -4.8459 8.3934 0.0000 0.0000 0.0000 6.1828" Properties=species:S:1:pos:R:3 pbc="T T T"
Sm -0.3037 3.1412 0.0000
Sm -1.9737 7.0858 0.0000
Sm 2.5685 1.8336 3.0914
Sm 2.2774 6.5597 0.0000
Sm 6.8196 1.3076 3.0914
Sm 5.1496 5.2522 3.0914
Al 0.0000 5.5956 2.6196
Al 4.8459 2.7978 5.7110
Co 0.0000 0.0000 2.0962
Co 0.0000 0.0000 5.1876
S -1.8826 4.7658 1.7150
S -0.1584 1.8431 3.6624
S -3.1706 7.6090 3.6624
S 1.5170 1.0587 0.5710
S 0.0000 5.5956 4.8506
S 1.6599 4.3801 1.7150
S 0.2227 7.6408 1.7150
S 4.6232 0.7525 4.8064
S 3.1860 4.0133 4.8064
S 4.8459 2.7978 1.7592
S 3.3289 7.3347 3.6624
S 8.0165 0.7844 0.5710
S 5.0043 6.5503 0.5710
S 6.7285 3.6276 4.8064
```

***

No. 8
# LuBe2Au
Simulated powder XRD pattern, Cu Kα X-rays. Input: a GGA-PBE-relaxed structure.
Peak positions follow from Bragg's law for the DFT cell and can differ from measured ones.

Principal peaks in the range 2θ = 10–80°, sorted by position:
Position (°2θ), intensity
24.4, 100.0
40.3, 93.6
47.7, 51.7
58.4, 16.0
64.2, 21.4
73.3, 33.0
78.6, 16.3

```
16
Lattice="6.3249 0.0000 0.0000 0.0000 6.3249 0.0000 0.0000 0.0000 6.3249" Properties=species:S:1:pos:R:3 pbc="T T T"
Lu 0.0000 0.0000 0.0000
Lu 0.0000 3.1625 3.1625
Lu 3.1625 0.0000 3.1625
Lu 3.1625 3.1625 0.0000
Be 0.0000 0.0000 3.1625
Be 0.0000 3.1625 0.0000
Be 1.5812 1.5812 4.7437
Be 1.5812 4.7437 1.5812
Be 3.1625 0.0000 0.0000
Be 3.1625 3.1625 3.1625
Be 4.7437 1.5812 1.5812
Be 4.7437 4.7437 4.7437
Au 1.5812 1.5812 1.5812
Au 1.5812 4.7437 4.7437
Au 4.7437 1.5812 4.7437
Au 4.7437 4.7437 1.5812
```